This entry pairs a crystal structure of Y3HoS6 with its theoretical X-ray diffraction stick pattern. Radiation: copper Kα. Structure: the PBE geometry in Alexandria.
Intensities are scaled so that the largest is 100.

Crystal structure
a = 11.4690 Å, b = 11.4690 Å, c = 13.6551 Å
α = 90.00°, β = 90.00°, γ = 120.00°
Space group R-3 (No. 148, hexagonal axes)
One atom of each set of equivalent atoms:
Y  0.0499  0.7794  0.2029
Ho  0.0000  0.0000  0.0000
Ho  0.0000  0.0000  0.5000
S  0.0206  0.8078  0.3981
S  0.0311  0.8380  0.8748

The 6 most intense peaks (2θ = 15–90°), most intense first:
(hkl)  d_spacing  I_rel
3 -1 4  2.526  100
3 -2 2  3.290  96
4 1 0  2.167  85
3 -1 1  3.620  83
2 0 2  4.016  78
4 -1 2  2.555  65

=====

This entry pairs a crystal structure of RbAg2IBr2 with its theoretical X-ray diffraction stick pattern. Radiation: copper Kα. Structure: the PBE geometry in Alexandria.
Intensities are scaled so that the largest is 100.

Crystal structure
a = 7.880 Å, b = 5.997 Å, c = 10.099 Å
α = 90.00°, β = 110.57°, γ = 90.00°
Space group P2_1/m (No. 11)
One atom of each set of equivalent atoms:
Rb  0.177  0.250  0.405
Ag  0.385  0.000  0.846
I  0.278  0.750  0.053
Br  0.075  0.250  0.713
Br  0.396  0.750  0.619

The 6 most intense peaks (2θ = 15–90°), most intense first:
(hkl)  d_spacing  I_rel
2 2 -2  2.299  100
1 1 1  3.851  96
3 0 1  2.199  70
2 1 0  3.142  66
0 1 2  3.713  64
0 2 3  2.172  58

=====

This entry pairs a crystal structure of Rb3AcSe4O12 with its theoretical X-ray diffraction stick pattern. Radiation: copper Kα. Structure: the PBE geometry in Alexandria.
Intensities are scaled so that the largest is 100.

Crystal structure
a = 12.8368 Å, b = 12.8368 Å, c = 9.6578 Å
α = 90.00°, β = 90.00°, γ = 120.00°
Space group R32 (No. 155, hexagonal axes)
One atom of each set of equivalent atoms:
Rb  0.0000  0.5237  0.0000
Ac  0.0000  0.0000  0.0000
Se  0.0000  0.0000  0.5000
Se  0.0000  0.4690  0.5000
O  0.0000  0.5994  0.5000
O  0.0000  0.8688  0.5000
O  0.0316  0.1700  0.8408

The 6 most intense peaks (2θ = 15–90°), most intense first:
(hkl)  d_spacing  I_rel
2 0 2  3.645  100
2 2 0  3.209  47
0 2 4  2.215  25
0 4 2  2.409  21
4 2 2  1.926  19
2 1 1  3.853  12

=====

This entry pairs a crystal structure of MgH12I8O6 with its theoretical X-ray diffraction stick pattern. Radiation: copper Kα. Structure: the PBE geometry in Alexandria.
Intensities are scaled so that the largest is 100.

Crystal structure
a = 7.905 Å, b = 9.105 Å, c = 9.787 Å
α = 62.97°, β = 67.26°, γ = 74.90°
Space group P-1 (No. 2)
One atom of each set of equivalent atoms:
Mg  0.000  0.000  0.000
H  0.071  0.313  0.761
H  0.161  0.776  0.854
H  0.186  0.184  0.682
H  0.215  0.938  0.189
H  0.270  0.106  0.036
H  0.296  0.767  0.943
I  0.007  0.347  0.293
I  0.284  0.647  0.405
I  0.356  0.104  0.438
I  0.450  0.363  0.899
O  0.111  0.195  0.785
O  0.182  0.824  0.917
O  0.184  0.021  0.092

The 6 most intense peaks (2θ = 15–90°), most intense first:
(hkl)  d_spacing  I_rel
1 2 1  4.308  100
1 0 -2  3.193  26
0 2 3  2.872  25
1 -2 1  2.943  24
2 1 2  3.595  23
2 0 2  3.283  21

=====

Which formula does entry 3 have? Rb3AcSe4O12